The following is a computed powder diffraction line list of TbGa2CuRh4. It was derived from a crystal structure in Alexandria, relaxed with PBE, using Cu Kα (weighted mean of Kα1 and Kα2).
Peak positions follow from Bragg's law for the DFT cell and can differ from measured ones.

Cell and atoms:
```
data_TbGa2CuRh4
_cell_length_a 4.3793
_cell_length_b 4.3793
_cell_length_c 22.1247
_cell_angle_alpha 90.00
_cell_angle_beta 90.00
_cell_angle_gamma 120.00
_symmetry_space_group_name_H-M 'R -3 m'
_symmetry_Int_Tables_number 166
_symmetry_space_group_name_Hall '-R 3 2"'
loop_
_atom_site_label
_atom_site_fract_x
_atom_site_fract_y
_atom_site_fract_z
Tb1 0.0000 0.0000 0.0000
Ga1 0.0000 0.0000 0.2443
Cu1 0.0000 0.0000 0.5000
Rh1 0.0000 0.0000 0.1285
Rh2 0.0000 0.0000 0.3836
```

Peak list (8 most intense, 2θ = 5–70°, in order of rising 2θ)
23.8 deg, intensity 4, hkl 1 0 1; 24.8 deg, intensity 5, hkl 0 1 2; 31.1 deg, intensity 9, hkl 0 1 5; 37.0 deg, intensity 4, hkl 1 0 7; 40.4 deg, intensity 99, hkl 0 1 8; 41.2 deg, intensity 100, hkl 1 1 0; 59.1 deg, intensity 31, hkl 2 0 8; 59.5 deg, intensity 4, hkl 1 0 13

The following is a computed powder diffraction line list of Tb4Pr2Y7. It was derived from a crystal structure in Alexandria, relaxed with PBE, using Cu Kα (weighted mean of Kα1 and Kα2).
Peak positions follow from Bragg's law for the DFT cell and can differ from measured ones.

Cell and atoms:
```
data_Tb4Pr2Y7
_cell_length_a 6.1231
_cell_length_b 6.1231
_cell_length_c 13.4312
_cell_angle_alpha 90.00
_cell_angle_beta 90.00
_cell_angle_gamma 120.00
_symmetry_space_group_name_H-M 'P -3 1 m'
_symmetry_Int_Tables_number 162
_symmetry_space_group_name_Hall '-P 3 2'
loop_
_atom_site_label
_atom_site_fract_x
_atom_site_fract_y
_atom_site_fract_z
Tb1 0.0000 0.0000 0.1044
Tb2 0.3333 0.6667 0.0000
Pr1 0.3333 0.6667 0.5000
Y1 0.0000 0.0000 0.5000
Y2 0.0000 0.3527 0.7175
```

Peak list (8 most intense, 2θ = 5–70°, in order of rising 2θ)
26.5 deg, intensity 16, hkl 0 0 4; 29.2 deg, intensity 32, hkl 1 1 0; 29.9 deg, intensity 30, hkl 1 1 1; 31.5 deg, intensity 25, hkl 1 0 4; 32.1 deg, intensity 100, hkl 2 -1 2; 35.5 deg, intensity 18, hkl 1 1 3; 51.7 deg, intensity 28, hkl 3 0 0; 62.2 deg, intensity 20, hkl 2 2 2

The following is a computed powder diffraction line list of La2Zn15Ru2. It was derived from a crystal structure in Alexandria, relaxed with PBE, using Cu Kα (weighted mean of Kα1 and Kα2).
Peak positions follow from Bragg's law for the DFT cell and can differ from measured ones.

Cell and atoms:
```
data_La2Zn15Ru2
_cell_length_a 9.1207
_cell_length_b 9.1207
_cell_length_c 13.1236
_cell_angle_alpha 90.00
_cell_angle_beta 90.00
_cell_angle_gamma 120.00
_symmetry_space_group_name_H-M 'R -3 m'
_symmetry_Int_Tables_number 166
_symmetry_space_group_name_Hall '-R 3 2"'
loop_
_atom_site_label
_atom_site_fract_x
_atom_site_fract_y
_atom_site_fract_z
La1 0.0000 0.0000 0.1646
Zn1 0.0000 0.2814 0.5000
Zn2 0.0000 0.5000 0.0000
Zn3 0.0041 0.5021 0.3483
Ru1 0.0000 0.0000 0.3981
```

Peak list (8 most intense, 2θ = 5–70°, in order of rising 2θ)
28.3 deg, intensity 25, hkl 1 1 3; 34.1 deg, intensity 49, hkl 3 0 0; 35.6 deg, intensity 43, hkl 0 2 4; 39.5 deg, intensity 93, hkl 2 2 0; 40.0 deg, intensity 100, hkl 3 0 3; 41.3 deg, intensity 74, hkl 0 0 6; 44.8 deg, intensity 48, hkl 2 2 3; 46.0 deg, intensity 26, hkl 1 2 5

The following is a computed powder diffraction line list of BaLa8Ir4. It was derived from a crystal structure in Alexandria, relaxed with PBE, using Cu Kα (weighted mean of Kα1 and Kα2).
Peak positions follow from Bragg's law for the DFT cell and can differ from measured ones.

Cell and atoms:
```
data_BaLa8Ir4
_cell_length_a 20.607
_cell_length_b 4.307
_cell_length_c 14.023
_cell_angle_alpha 90.00
_cell_angle_beta 131.59
_cell_angle_gamma 90.00
_symmetry_space_group_name_H-M 'C 1 m 1'
_symmetry_Int_Tables_number 8
loop_
_symmetry_equiv_pos_as_xyz
'x,y,z'
'x,-y,z'
'x+1/2,y+1/2,z'
'x+1/2,-y+1/2,z'
loop_
_atom_site_label
_atom_site_fract_x
_atom_site_fract_y
_atom_site_fract_z
Ba1 0.000 0.000 0.000
La1 0.043 0.000 0.733
La2 0.138 0.500 0.594
La3 0.168 0.500 0.350
La4 0.210 0.500 0.069
La5 0.290 0.000 0.932
La6 0.333 0.000 0.650
La7 0.363 0.000 0.407
La8 0.457 0.500 0.268
Ir1 0.145 0.000 0.463
Ir2 0.166 0.500 0.824
Ir3 0.335 0.000 0.177
Ir4 0.356 0.500 0.537
```

Peak list (8 most intense, 2θ = 5–70°, in order of rising 2θ)
12.6 deg, intensity 58, hkl 2 0 -2; 27.0 deg, intensity 100, hkl 3 1 0; 27.7 deg, intensity 38, hkl 2 0 -4; 28.2 deg, intensity 92, hkl 3 1 -3; 33.6 deg, intensity 54, hkl 5 1 -4; 38.3 deg, intensity 72, hkl 7 1 -2; 42.0 deg, intensity 55, hkl 0 2 0; 44.0 deg, intensity 98, hkl 1 1 4

The following is a computed powder diffraction line list of IrOsRhW. It was derived from a crystal structure in Alexandria, relaxed with PBE, using Cu Kα (weighted mean of Kα1 and Kα2).
Peak positions follow from Bragg's law for the DFT cell and can differ from measured ones.

Cell and atoms:
```
data_IrOsRhW
_cell_length_a 3.856
_cell_length_b 3.860
_cell_length_c 3.941
_cell_angle_alpha 90.00
_cell_angle_beta 90.00
_cell_angle_gamma 90.00
_symmetry_space_group_name_H-M 'P m m m'
_symmetry_Int_Tables_number 47
loop_
_symmetry_equiv_pos_as_xyz
'x,y,z'
'-x,-y,-z'
'-x,-y,z'
'x,y,-z'
'x,-y,-z'
'-x,y,z'
'-x,y,-z'
'x,-y,z'
loop_
_atom_site_label
_atom_site_fract_x
_atom_site_fract_y
_atom_site_fract_z
Ir1 0.000 0.000 0.000
Os1 0.000 0.500 0.500
Rh1 0.500 0.500 0.000
W1 0.500 0.000 0.500
```

Peak list (8 most intense, 2θ = 5–70°, in order of rising 2θ)
22.6 deg, intensity 1, hkl 0 0 1; 23.1 deg, intensity 3, hkl 1 0 0; 32.5 deg, intensity 3, hkl 0 1 1; 40.2 deg, intensity 100, hkl 1 1 1; 46.1 deg, intensity 17, hkl 0 0 2; 47.1 deg, intensity 32, hkl 2 0 0; 68.0 deg, intensity 21, hkl 2 0 2; 68.8 deg, intensity 10, hkl 2 2 0

The following is a computed powder diffraction line list of PmCd4Ge2. It was derived from a crystal structure in Alexandria, relaxed with PBE, using Cu Kα (weighted mean of Kα1 and Kα2).
Peak positions follow from Bragg's law for the DFT cell and can differ from measured ones.

Cell and atoms:
```
data_PmCd4Ge2
_cell_length_a 4.311
_cell_length_b 16.951
_cell_length_c 4.307
_cell_angle_alpha 90.00
_cell_angle_beta 90.00
_cell_angle_gamma 90.00
_symmetry_space_group_name_H-M 'C m m m'
_symmetry_Int_Tables_number 65
_symmetry_space_group_name_Hall '-C 2 2'
loop_
_atom_site_label
_atom_site_fract_x
_atom_site_fract_y
_atom_site_fract_z
Pm1 0.000 0.000 0.000
Cd1 0.000 0.181 0.500
Cd2 0.000 0.317 0.000
Ge1 0.000 0.427 0.500
```

Peak list (8 most intense, 2θ = 5–70°, in order of rising 2θ)
29.6 deg, intensity 7, hkl 0 4 1; 31.7 deg, intensity 12, hkl 0 6 0; 33.4 deg, intensity 100, hkl 1 3 1; 39.8 deg, intensity 19, hkl 1 5 1; 41.9 deg, intensity 40, hkl 2 0 0; 53.5 deg, intensity 10, hkl 2 6 0; 60.8 deg, intensity 13, hkl 2 0 2; 61.4 deg, intensity 8, hkl 2 8 0

The following is a computed powder diffraction line list of Li2CdSiO4. It was derived from a crystal structure in Alexandria, relaxed with PBE, using Cu Kα (weighted mean of Kα1 and Kα2).
Peak positions follow from Bragg's law for the DFT cell and can differ from measured ones.

Cell and atoms:
```
data_Li2CdSiO4
_cell_length_a 10.912
_cell_length_b 6.539
_cell_length_c 5.196
_cell_angle_alpha 90.00
_cell_angle_beta 90.00
_cell_angle_gamma 90.00
_symmetry_space_group_name_H-M 'P n m a'
_symmetry_Int_Tables_number 62
loop_
_symmetry_equiv_pos_as_xyz
'x,y,z'
'-x,-y,-z'
'-x+1/2,-y,z+1/2'
'x+1/2,y,-z+1/2'
'x+1/2,-y+1/2,-z+1/2'
'-x+1/2,y+1/2,z+1/2'
'-x,y+1/2,-z'
'x,-y+1/2,z'
loop_
_atom_site_label
_atom_site_fract_x
_atom_site_fract_y
_atom_site_fract_z
Li1 0.088 0.001 0.174
Cd1 0.164 0.250 0.674
Si1 0.158 0.750 0.669
O1 0.089 0.547 0.793
O2 0.146 0.750 0.352
O3 0.194 0.250 0.245
```

Peak list (8 most intense, 2θ = 5–70°, in order of rising 2θ)
16.2 deg, intensity 41, hkl 2 0 0; 21.2 deg, intensity 35, hkl 2 1 0; 21.8 deg, intensity 37, hkl 0 1 1; 23.6 deg, intensity 100, hkl 2 0 1; 27.3 deg, intensity 68, hkl 0 2 0; 31.9 deg, intensity 38, hkl 2 2 0; 34.5 deg, intensity 29, hkl 0 0 2; 45.1 deg, intensity 36, hkl 0 3 1

The following is a computed powder diffraction line list of Pr5Y4Ho3. It was derived from a crystal structure in Alexandria, relaxed with PBE, using Cu Kα (weighted mean of Kα1 and Kα2).
Peak positions follow from Bragg's law for the DFT cell and can differ from measured ones.

Cell and atoms:
```
data_Pr5Y4Ho3
_cell_length_a 11.582
_cell_length_b 5.513
_cell_length_c 13.299
_cell_angle_alpha 90.00
_cell_angle_beta 104.68
_cell_angle_gamma 90.00
_symmetry_space_group_name_H-M 'C 1 2/m 1'
_symmetry_Int_Tables_number 12
loop_
_symmetry_equiv_pos_as_xyz
'x,y,z'
'-x,-y,-z'
'-x,y,-z'
'x,-y,z'
'x+1/2,y+1/2,z'
'-x+1/2,-y+1/2,-z'
'-x+1/2,y+1/2,-z'
'x+1/2,-y+1/2,z'
loop_
_atom_site_label
_atom_site_fract_x
_atom_site_fract_y
_atom_site_fract_z
Pr1 0.000 0.000 0.000
Pr2 0.138 0.000 0.465
Pr3 0.172 0.500 0.263
Y1 0.089 0.500 0.630
Y2 0.232 0.500 0.896
Ho1 0.000 0.500 0.000
Ho2 0.045 0.000 0.783
```

Peak list (8 most intense, 2θ = 5–70°, in order of rising 2θ)
29.0 deg, intensity 92, hkl 1 1 3; 29.3 deg, intensity 100, hkl 3 1 -2; 32.5 deg, intensity 61, hkl 0 2 0; 34.5 deg, intensity 83, hkl 4 0 1; 48.1 deg, intensity 66, hkl 4 2 1; 55.8 deg, intensity 16, hkl 1 3 3; 56.0 deg, intensity 15, hkl 3 3 -2; 58.7 deg, intensity 17, hkl 7 1 -1

The following is a computed powder diffraction line list of KPaGa2O6. It was derived from a crystal structure in Alexandria, relaxed with PBE, using Cu Kα (weighted mean of Kα1 and Kα2).
Peak positions follow from Bragg's law for the DFT cell and can differ from measured ones.

Cell and atoms:
```
data_KPaGa2O6
_cell_length_a 11.033
_cell_length_b 10.471
_cell_length_c 6.203
_cell_angle_alpha 90.00
_cell_angle_beta 109.14
_cell_angle_gamma 90.00
_symmetry_space_group_name_H-M 'C 1 2/c 1'
_symmetry_Int_Tables_number 15
loop_
_symmetry_equiv_pos_as_xyz
'x,y,z'
'-x,-y,-z'
'-x,y,-z+1/2'
'x,-y,z+1/2'
'x+1/2,y+1/2,z'
'-x+1/2,-y+1/2,-z'
'-x+1/2,y+1/2,-z+1/2'
'x+1/2,-y+1/2,z+1/2'
loop_
_atom_site_label
_atom_site_fract_x
_atom_site_fract_y
_atom_site_fract_z
K1 0.000 0.090 0.250
Pa1 0.000 0.285 0.750
Ga1 0.208 0.422 0.164
O1 0.085 0.292 0.099
O2 0.127 0.134 0.709
O3 0.162 0.453 0.837
```

Peak list (8 most intense, 2θ = 5–70°, in order of rising 2θ)
17.0 deg, intensity 100, hkl 1 1 -1; 24.1 deg, intensity 51, hkl 2 2 0; 25.3 deg, intensity 43, hkl 2 2 -1; 26.6 deg, intensity 22, hkl 3 1 -1; 30.5 deg, intensity 24, hkl 0 0 2; 32.4 deg, intensity 24, hkl 1 3 1; 34.4 deg, intensity 20, hkl 4 0 0; 35.1 deg, intensity 16, hkl 3 1 1

The following is a computed powder diffraction line list of Ho2ZrPt9. It was derived from a crystal structure in Alexandria, relaxed with PBE, using Cu Kα (weighted mean of Kα1 and Kα2).
Peak positions follow from Bragg's law for the DFT cell and can differ from measured ones.

Cell and atoms:
```
data_Ho2ZrPt9
_cell_length_a 4.089
_cell_length_b 4.089
_cell_length_c 12.274
_cell_angle_alpha 90.00
_cell_angle_beta 90.00
_cell_angle_gamma 90.00
_symmetry_space_group_name_H-M 'P 4/m m m'
_symmetry_Int_Tables_number 123
_symmetry_space_group_name_Hall '-P 4 2'
loop_
_atom_site_label
_atom_site_fract_x
_atom_site_fract_y
_atom_site_fract_z
Ho1 0.000 0.000 0.167
Zr1 0.000 0.000 0.500
Pt1 0.000 0.500 0.000
Pt2 0.000 0.500 0.339
Pt3 0.500 0.500 0.170
Pt4 0.500 0.500 0.500
```

Peak list (8 most intense, 2θ = 5–70°, in order of rising 2θ)
21.7 deg, intensity 2, hkl 1 0 0; 30.9 deg, intensity 1, hkl 1 1 0; 36.6 deg, intensity 1, hkl 0 0 5; 38.1 deg, intensity 100, hkl 1 1 3; 44.3 deg, intensity 49, hkl 2 0 0; 49.9 deg, intensity 1, hkl 2 1 0; 55.0 deg, intensity 1, hkl 2 1 3; 64.4 deg, intensity 32, hkl 2 2 0

The following is a computed powder diffraction line list of Sn3Br5Cl. It was derived from a crystal structure in Alexandria, relaxed with PBE, using Cu Kα (weighted mean of Kα1 and Kα2).
Peak positions follow from Bragg's law for the DFT cell and can differ from measured ones.

Cell and atoms:
```
data_Sn3Br5Cl
_cell_length_a 10.050
_cell_length_b 29.528
_cell_length_c 4.443
_cell_angle_alpha 90.00
_cell_angle_beta 90.00
_cell_angle_gamma 90.00
_symmetry_space_group_name_H-M 'C m m m'
_symmetry_Int_Tables_number 65
_symmetry_space_group_name_Hall '-C 2 2'
loop_
_atom_site_label
_atom_site_fract_x
_atom_site_fract_y
_atom_site_fract_z
Sn1 0.000 0.000 0.000
Sn2 0.000 0.160 0.500
Sn3 0.000 0.331 0.000
Sn4 0.000 0.500 0.500
Br1 0.000 0.229 0.000
Br2 0.000 0.432 0.000
Br3 0.201 0.334 0.500
Br4 0.202 0.000 0.500
Cl1 0.000 0.097 0.000
```

Peak list (8 most intense, 2θ = 5–70°, in order of rising 2θ)
17.7 deg, intensity 65, hkl 2 0 0; 18.0 deg, intensity 94, hkl 0 6 0; 23.7 deg, intensity 48, hkl 1 3 1; 26.8 deg, intensity 61, hkl 2 0 1; 27.0 deg, intensity 58, hkl 0 6 1; 34.8 deg, intensity 91, hkl 3 3 1; 35.2 deg, intensity 72, hkl 1 9 1; 43.7 deg, intensity 100, hkl 3 9 1

The following is a computed powder diffraction line list of BeIBr2. It was derived from a crystal structure in Alexandria, relaxed with PBE, using Cu Kα (weighted mean of Kα1 and Kα2).
Peak positions follow from Bragg's law for the DFT cell and can differ from measured ones.

Cell and atoms:
```
data_BeIBr2
_cell_length_a 3.4704
_cell_length_b 3.4704
_cell_length_c 36.9514
_cell_angle_alpha 90.00
_cell_angle_beta 90.00
_cell_angle_gamma 120.00
_symmetry_space_group_name_H-M 'R -3 m'
_symmetry_Int_Tables_number 166
_symmetry_space_group_name_Hall '-R 3 2"'
loop_
_atom_site_label
_atom_site_fract_x
_atom_site_fract_y
_atom_site_fract_z
Be1 0.0000 0.0000 0.0000
I1 0.0000 0.0000 0.5000
Br1 0.0000 0.0000 0.3706
```

Peak list (8 most intense, 2θ = 5–70°, in order of rising 2θ)
14.4 deg, intensity 93, hkl 0 0 6; 21.6 deg, intensity 57, hkl 0 0 9; 29.8 deg, intensity 100, hkl 1 0 1; 34.3 deg, intensity 83, hkl 1 0 7; 35.6 deg, intensity 98, hkl 0 1 8; 49.8 deg, intensity 34, hkl 1 0 16; 52.8 deg, intensity 32, hkl 1 1 0; 65.9 deg, intensity 42, hkl 0 1 23

The following is a computed powder diffraction line list of AcMgCdPb. It was derived from a crystal structure in Alexandria, relaxed with PBE, using Cu Kα (weighted mean of Kα1 and Kα2).
Peak positions follow from Bragg's law for the DFT cell and can differ from measured ones.

Cell and atoms:
```
data_AcMgCdPb
_cell_length_a 7.829
_cell_length_b 7.829
_cell_length_c 7.829
_cell_angle_alpha 90.00
_cell_angle_beta 90.00
_cell_angle_gamma 90.00
_symmetry_space_group_name_H-M 'F -4 3 m'
_symmetry_Int_Tables_number 216
_symmetry_space_group_name_Hall 'F -4 2 3'
loop_
_atom_site_label
_atom_site_fract_x
_atom_site_fract_y
_atom_site_fract_z
Ac1 0.000 0.000 0.000
Mg1 0.000 0.000 0.500
Cd1 0.250 0.250 0.750
Pb1 0.250 0.250 0.250
```

Peak list (8 most intense, 2θ = 5–70°, in order of rising 2θ)
19.6 deg, intensity 31, hkl 1 1 1; 32.3 deg, intensity 100, hkl 2 2 0; 38.1 deg, intensity 19, hkl 3 1 1; 46.4 deg, intensity 19, hkl 4 0 0; 50.8 deg, intensity 8, hkl 3 3 1; 57.7 deg, intensity 39, hkl 4 2 2; 61.6 deg, intensity 7, hkl 5 1 1; 67.7 deg, intensity 12, hkl 4 4 0